Simulated PXRD pattern of ThZr4Si4 for Cu Kα, from a crystal structure in Alexandria, relaxed with PBE.
Intensities are scaled so that the largest is 100.

Largest 10 diffraction maxima, low angle first, 10° ≤ 2θ ≤ 90°:
| 2θ/deg | Rel. int. |
| --- | --- |
| 19.53 | 71.5 |
| 28.27 | 92.6 |
| 28.78 | 18.6 |
| 32.26 | 100.0 |
| 35.30 | 32.8 |
| 40.78 | 36.7 |
| 45.94 | 21.0 |
| 46.16 | 23.6 |
| 47.38 | 17.5 |
| 55.11 | 18.4 |

Structure:
```
18
Lattice="8.775 0.000 0.000 0.000 8.775 0.000 0.000 0.000 5.312" Properties=species:S:1:pos:R:3 pbc="T T T"
Th 2.194 2.194 1.328
Th 6.581 6.581 3.984
Zr 0.952 5.547 0.681
Zr 1.160 7.823 3.337
Zr 3.227 5.339 3.337
Zr 3.435 7.615 0.681
Zr 5.339 1.160 4.632
Zr 5.547 3.435 1.975
Zr 7.615 0.952 1.975
Zr 7.823 3.227 4.632
Si 0.492 5.209 3.376
Si 0.822 8.282 0.720
Si 3.565 4.880 0.720
Si 3.895 7.952 3.376
Si 4.880 0.822 1.936
Si 5.209 3.895 4.592
Si 7.952 0.492 4.592
Si 8.282 3.565 1.936
```